This entry pairs a crystal structure of Ba2Ga2S5 with its calculated XRD peak list. Radiation: Cu Kα, 1.54184 Å. Structure: a structure optimized by DFT (PBE).
No peak broadening, texture or thermal motion is included.

Top 6 peaks for 5 to 70 degrees two-theta, low angle first:
- (1 1 -2), 2θ 21.4, rel. 68
- (4 0 0), 2θ 23.6, rel. 100
- (1 1 2), 2θ 24.3, rel. 38
- (3 3 -1), 2θ 25.3, rel. 66
- (1 3 2), 2θ 29.6, rel. 39
- (4 4 0), 2θ 33.6, rel. 45

Structure:
Unit cell a=15.655 b=15.051 c=8.645 alpha=90.00 beta=105.33 gamma=90.00
Space group C2/c (No. 15)
Symmetry-distinct sites (fractional):
Ba (0.148, 0.129, 0.389) [8 per cell]
Ba (0.150, 0.418, 0.105) [8 per cell]
Ga (0.073, 0.305, 0.616) [8 per cell]
Ga (0.102, 0.126, 0.913) [8 per cell]
S (0.000, 0.033, 0.750) [4 per cell]
S (0.000, 0.400, 0.750) [4 per cell]
S (0.039, 0.223, 0.058) [8 per cell]
S (0.140, 0.382, 0.463) [8 per cell]
S (0.176, 0.210, 0.765) [8 per cell]
S (0.208, 0.046, 0.088) [8 per cell]